This entry pairs a crystal structure of Sr3Zn8Au with its calculated powder diffractogram. Radiation: a wavelength of 1.5418 Å. Structure: DFT lattice parameters and positions (PBE).
Kinematic intensities with the Lorentz-polarization factor, no thermal factor.

Structure:
a b c (Å): 5.6835 5.6835 27.3578
angles (deg): 90.00 90.00 120.00
Space group R3m (No. 160, hexagonal axes)
Asymmetric unit:
1 Sr 0.0000 0.0000 0.0000
2 Sr 0.0000 0.0000 0.1284
3 Sr 0.0000 0.0000 0.5144
4 Zn 0.0000 0.0000 0.3153
5 Zn 0.0000 0.0000 0.8176
6 Zn 0.1674 0.3348 0.3976
7 Zn 0.1682 0.3364 0.9015
8 Au 0.0000 0.0000 0.6416

Peak list (6 most intense, 10° ≤ 2θ ≤ 90°, sorted by position)
2θ = 31.5°, d 2.842, I = 41, (1 1 0)
2θ = 31.9°, d 2.808, I = 35, (0 1 8)
2θ = 37.1°, d 2.422, I = 45, (2 0 2)
2θ = 37.3°, d 2.412, I = 100, (1 1 6)
2θ = 37.6°, d 2.391, I = 31, (1 0 10)
2θ = 38.9°, d 2.316, I = 31, (0 2 4)